This entry pairs a crystal structure of Tb12PrSm2 with its simulated PXRD pattern. Radiation: Cu Kα (weighted mean of Kα1 and Kα2). Structure: a cell relaxed with GGA-PBE.
Neutral-atom scattering factors, no anomalous dispersion.

Cell lengths 6.439, 6.439, 25.144 Å; angles 90.00, 90.00, 90.00 degrees
Space group P4/nbm (No. 125, origin choice 2)
Asymmetric unit:
Tb 0.066 0.566 0.118
Tb 0.082 0.582 0.439
Tb 0.250 0.250 0.217
Tb 0.250 0.250 0.340
Pr 0.250 0.750 0.000
Sm 0.250 0.750 0.273

Main lines, by angle (15 to 90 degrees two-theta):
Position (°2θ), intensity
28.62, 72
29.73, 59
31.24, 88
31.73, 100
32.89, 84
37.91, 57